TbB2PbO6: theoretical powder X-ray diffraction pattern (Cu Kα (weighted mean of Kα1 and Kα2)), based on a DFT-relaxed cell (PBE, Alexandria).
Peak positions follow from Bragg's law for the DFT cell and can differ from measured ones.

Main lines, in order of falling intensity (2θ from 10° to 80°):
| hkl | Position (°2θ) | I (rel.) |
| --- | --- | --- |
| 0 2 1 | 22.27 | 100 |
| 2 2 -1 | 29.11 | 86 |
| 0 0 2 | 28.01 | 56 |
| 2 0 0 | 22.94 | 54 |
| 2 2 1 | 35.03 | 45 |
| 0 2 3 | 46.29 | 25 |
| 2 2 -3 | 46.05 | 23 |
| 2 4 -1 | 42.46 | 22 |
| 4 2 -1 | 48.41 | 21 |
| 2 2 0 | 28.88 | 21 |
| 0 2 0 | 17.31 | 21 |
| 4 2 1 | 56.31 | 21 |

Cell and atoms:
Lattice parameters (Å, degrees): 8.087 10.244 6.644 90.00 106.51 90.00
Space group C2/c (No. 15)
Symmetry-distinct sites (fractional):
Tb 0.000 0.082 0.250 [4 per cell]
B 0.250 0.155 0.746 [8 per cell]
Pb 0.000 0.400 0.750 [4 per cell]
O 0.112 0.094 0.608 [8 per cell]
O 0.126 0.424 0.119 [8 per cell]
O 0.230 0.211 0.243 [8 per cell]